No. 1
Starting from a cell relaxed with PBE, the PXRD pattern of LiCaBiF6 was computed for Cu Kα (weighted mean of Kα1 and Kα2).
Neutral-atom scattering factors, no anomalous dispersion.

abc: 5.555 5.555 10.047
angles: 90.00 90.00 120.00
Positions (direct):
Li1 0.333 0.667 0.250
Li2 0.667 0.333 0.750
Ca1 0.333 0.667 0.750
Ca2 0.667 0.333 0.250
Bi1 0.000 0.000 0.000
Bi2 0.000 0.000 0.500
F1 0.023 0.348 0.133
F2 0.023 0.675 0.367
F3 0.325 0.348 0.367
F4 0.325 0.977 0.133
F5 0.348 0.023 0.633
F6 0.348 0.325 0.867
F7 0.652 0.675 0.133
F8 0.652 0.977 0.367
F9 0.675 0.023 0.867
F10 0.675 0.652 0.633
F11 0.977 0.325 0.633
F12 0.977 0.652 0.867

Most intense lines, 10° ≤ 2θ ≤ 90°, by angle:
d [Å]  intensity
5.024  15
4.811  65
3.475  100
2.778  20
2.431  28
2.227  20
2.170  28
1.863  31
1.710  27
1.604  13

=====

No. 2
Starting from a cell relaxed with PBE, the PXRD pattern of CaTlBiF6 was computed for Cu Kα (weighted mean of Kα1 and Kα2).
Neutral-atom scattering factors, no anomalous dispersion.

abc: 6.289 6.289 11.043
angles: 90.00 90.00 120.00
Positions (direct):
Ca1 0.333 0.667 0.250
Ca2 0.667 0.333 0.750
Tl1 0.000 0.000 0.000
Tl2 0.000 0.000 0.500
Bi1 0.333 0.667 0.750
Bi2 0.667 0.333 0.250
F1 0.000 0.375 0.145
F2 0.000 0.375 0.645
F3 0.000 0.625 0.355
F4 0.000 0.625 0.855
F5 0.375 0.000 0.145
F6 0.375 0.000 0.645
F7 0.375 0.375 0.355
F8 0.375 0.375 0.855
F9 0.625 0.000 0.355
F10 0.625 0.000 0.855
F11 0.625 0.625 0.145
F12 0.625 0.625 0.645

Most intense lines, 10° ≤ 2θ ≤ 90°, by angle:
d [Å]  intensity
4.884  31
3.877  100
3.144  42
2.442  28
2.075  43
1.929  30
1.815  16
1.457  13
1.366  11
1.092  12

=====

No. 3
Starting from a cell relaxed with PBE, the PXRD pattern of CaFe2Bi2 was computed for Cu Kα (weighted mean of Kα1 and Kα2).
Neutral-atom scattering factors, no anomalous dispersion.

abc: 5.820 5.820 5.820
angles: 128.92 128.92 75.15
Positions (direct):
Ca1 0.000 0.000 0.000
Fe1 0.383 0.383 0.000
Fe2 0.617 0.617 0.000
Bi1 0.250 0.750 0.500
Bi2 0.750 0.250 0.500

Most intense lines, 10° ≤ 2θ ≤ 90°, by angle:
d [Å]  intensity
4.613  48
3.549  25
2.813  100
2.509  55
2.204  30
1.934  37
1.774  19
1.656  13
1.501  31
1.307  21

=====

No. 4
Starting from a cell relaxed with PBE, the PXRD pattern of K2CaGaBi2 was computed for Cu Kα (weighted mean of Kα1 and Kα2).
Neutral-atom scattering factors, no anomalous dispersion.

abc: 9.958 9.958 9.958
angles: 137.81 62.47 136.17
Positions (direct):
K1 0.176 0.236 0.412
K2 0.324 0.736 0.060
K3 0.676 0.264 0.940
K4 0.824 0.764 0.588
Ca1 0.250 0.750 0.500
Ca2 0.750 0.250 0.500
Ga1 0.250 0.250 0.000
Ga2 0.750 0.750 0.000
Bi1 0.105 0.766 0.871
Bi2 0.395 0.266 0.661
Bi3 0.605 0.734 0.339
Bi4 0.895 0.234 0.129

Most intense lines, 10° ≤ 2θ ≤ 90°, by angle:
d [Å]  intensity
8.515  29
4.413  100
3.717  22
3.584  19
3.284  35
2.800  40
2.742  35
2.580  44
2.487  24
2.257  28

=====

No. 5
Starting from a cell relaxed with PBE, the PXRD pattern of Ca2GaBiP was computed for Cu Kα (weighted mean of Kα1 and Kα2).
Neutral-atom scattering factors, no anomalous dispersion.

abc: 7.313 4.330 9.389
angles: 90.00 107.18 90.00
Positions (direct):
Ca1 0.212 0.250 0.477
Ca2 0.233 0.250 0.885
Ca3 0.767 0.750 0.115
Ca4 0.788 0.750 0.523
Ga1 0.494 0.250 0.295
Ga2 0.506 0.750 0.705
Bi1 0.257 0.750 0.172
Bi2 0.743 0.250 0.828
P1 0.180 0.750 0.680
P2 0.820 0.250 0.320

Most intense lines, 10° ≤ 2θ ≤ 90°, by angle:
d [Å]  intensity
6.525  59
4.413  59
3.680  38
3.493  43
3.115  100
2.786  54
2.699  39
2.450  43
2.164  45
2.121  39

=====

No. 6
Starting from a cell relaxed with PBE, the PXRD pattern of Rb2CaGaBi2 was computed for Cu Kα (weighted mean of Kα1 and Kα2).
Neutral-atom scattering factors, no anomalous dispersion.

abc: 10.210 10.210 10.210
angles: 137.87 62.04 136.66
Positions (direct):
Rb1 0.175 0.237 0.412
Rb2 0.325 0.737 0.062
Rb3 0.675 0.263 0.938
Rb4 0.825 0.763 0.588
Ca1 0.250 0.750 0.500
Ca2 0.750 0.250 0.500
Ga1 0.250 0.250 0.000
Ga2 0.750 0.750 0.000
Bi1 0.099 0.766 0.865
Bi2 0.401 0.266 0.666
Bi3 0.599 0.734 0.334
Bi4 0.901 0.234 0.135

Most intense lines, 10° ≤ 2θ ≤ 90°, by angle:
d [Å]  intensity
8.750  28
4.508  72
3.770  43
3.669  39
3.363  100
2.856  49
2.811  46
2.630  74
2.089  27
2.020  36

=====

No. 7
Starting from a cell relaxed with PBE, the PXRD pattern of CaGdBi was computed for Cu Kα (weighted mean of Kα1 and Kα2).
Neutral-atom scattering factors, no anomalous dispersion.

abc: 6.204 6.204 6.204
angles: 140.94 140.94 56.43
Positions (direct):
Ca1 0.000 0.000 0.000
Gd1 0.693 0.693 0.000
Bi1 0.340 0.340 0.000

Most intense lines, 10° ≤ 2θ ≤ 90°, by angle:
d [Å]  intensity
5.467  28
3.878  23
2.933  62
2.738  100
2.585  18
2.074  23
1.934  14
1.653  45
1.548  16
1.415  13

=====

No. 8
Starting from a cell relaxed with PBE, the PXRD pattern of CaBi2H2 was computed for Cu Kα (weighted mean of Kα1 and Kα2).
Neutral-atom scattering factors, no anomalous dispersion.

abc: 6.936 6.936 4.554
angles: 90.00 90.00 90.00
Positions (direct):
Ca1 0.000 0.000 0.000
Ca2 0.500 0.500 0.000
Bi1 0.161 0.339 0.500
Bi2 0.339 0.839 0.500
Bi3 0.661 0.161 0.500
Bi4 0.839 0.661 0.500
H1 0.186 0.314 0.000
H2 0.314 0.814 0.000
H3 0.686 0.186 0.000
H4 0.814 0.686 0.000

Most intense lines, 10° ≤ 2θ ≤ 90°, by angle:
d [Å]  intensity
4.554  71
3.337  25
3.102  85
2.759  31
2.564  100
2.277  19
2.193  22
1.836  39
1.579  34
1.539  22

=====

No. 9
Starting from a cell relaxed with PBE, the PXRD pattern of Ca2BiH6 was computed for Cu Kα (weighted mean of Kα1 and Kα2).
Neutral-atom scattering factors, no anomalous dispersion.

abc: 5.512 5.512 5.512
angles: 60.00 60.00 60.00
Positions (direct):
Ca1 0.250 0.250 0.250
Ca2 0.750 0.750 0.750
Bi1 0.000 0.000 0.000
H1 0.290 0.290 0.710
H2 0.290 0.710 0.290
H3 0.290 0.710 0.710
H4 0.710 0.290 0.290
H5 0.710 0.290 0.710
H6 0.710 0.710 0.290

Most intense lines, 10° ≤ 2θ ≤ 90°, by angle:
d [Å]  intensity
4.501  100
3.898  19
2.756  91
2.350  60
1.949  17
1.788  27
1.591  34
1.500  20
1.318  20
1.233  15

=====

No. 10
Starting from a cell relaxed with PBE, the PXRD pattern of Ca6Bi3H was computed for Cu Kα (weighted mean of Kα1 and Kα2).
Neutral-atom scattering factors, no anomalous dispersion.

abc: 9.786 9.786 7.296
angles: 90.00 90.00 101.65
Positions (direct):
Ca1 0.048 0.952 0.500
Ca2 0.108 0.583 0.482
Ca3 0.225 0.775 0.952
Ca4 0.312 0.365 0.957
Ca5 0.365 0.312 0.457
Ca6 0.417 0.892 0.482
Ca7 0.583 0.108 0.982
Ca8 0.635 0.688 0.957
Ca9 0.688 0.635 0.457
Ca10 0.775 0.225 0.452
Ca11 0.892 0.417 0.982
Ca12 0.952 0.048 0.000
Bi1 0.067 0.280 0.671
Bi2 0.280 0.067 0.171
Bi3 0.388 0.612 0.248
Bi4 0.612 0.388 0.748
Bi5 0.720 0.933 0.671
Bi6 0.933 0.720 0.171
H1 0.194 0.806 0.618
H2 0.806 0.194 0.118

Most intense lines, 10° ≤ 2θ ≤ 90°, by angle:
d [Å]  intensity
5.806  66
5.259  25
4.006  100
3.977  30
3.940  60
2.927  36
2.689  62
2.629  45
2.444  40
2.315  25

=====

No. 11
Starting from a cell relaxed with PBE, the PXRD pattern of Ca8Bi5H was computed for Cu Kα (weighted mean of Kα1 and Kα2).
Neutral-atom scattering factors, no anomalous dispersion.

abc: 8.324 8.324 8.324
angles: 110.39 110.39 107.65
Positions (direct):
Ca1 0.009 0.908 0.264
Ca2 0.092 0.356 0.102
Ca3 0.148 0.397 0.625
Ca4 0.255 0.991 0.898
Ca5 0.477 0.852 0.248
Ca6 0.603 0.229 0.752
Ca7 0.644 0.745 0.736
Ca8 0.771 0.523 0.375
Bi1 0.250 0.750 0.500
Bi2 0.391 0.269 0.381
Bi3 0.731 0.112 0.122
Bi4 0.888 0.010 0.619
Bi5 0.990 0.609 0.878
H1 0.500 0.500 0.000

Most intense lines, 10° ≤ 2θ ≤ 90°, by angle:
d [Å]  intensity
6.831  22
3.966  51
3.901  93
3.097  36
3.009  100
2.594  50
2.546  35
2.139  25
2.053  28
1.865  23

=====

No. 12
Starting from a cell relaxed with PBE, the PXRD pattern of CaBiH was computed for Cu Kα (weighted mean of Kα1 and Kα2).
Neutral-atom scattering factors, no anomalous dispersion.

abc: 6.560 6.560 6.015
angles: 93.62 93.62 31.78
Positions (direct):
Ca1 0.139 0.139 0.352
Ca2 0.861 0.861 0.648
Bi1 0.407 0.407 0.148
Bi2 0.593 0.593 0.852
H1 0.269 0.269 0.628
H2 0.731 0.731 0.372

Most intense lines, 10° ≤ 2θ ≤ 90°, by angle:
d [Å]  intensity
6.002  42
4.208  61
3.454  54
3.148  35
2.971  100
2.866  31
2.781  45
2.642  27
2.525  59
2.063  43